No. 1
Starting from a PBE-relaxed structure, the powder diffractogram of Sr9Zn4Cu2O14 was simulated for CuKα.

Structure:
Cell: 22.400 3.645 11.445 Å, 90.00 98.47 90.00°
Space group C2/m (No. 12)
Inequivalent atoms, fractional coordinates:
Sr 0.000 0.000 0.000 x2
Sr 0.008 0.000 0.306 x4
Sr 0.186 0.000 0.725 x4
Sr 0.187 0.000 0.399 x4
Sr 0.193 0.000 0.071 x4
Zn 0.102 0.500 0.539 x4
Zn 0.111 0.500 0.204 x4
Cu 0.107 0.500 0.878 x4
O 0.026 0.500 0.852 x4
O 0.082 0.000 0.595 x4
O 0.086 0.500 0.365 x4
O 0.094 0.000 0.142 x4
O 0.191 0.500 0.902 x4
O 0.197 0.500 0.570 x4
O 0.203 0.500 0.233 x4

The 6 most intense peaks (10 to 90 degrees two-theta), by angle:
| index | Position (°2θ) | I (rel.) |
| --- | --- | --- |
| 4 0 3 | 30.57 | 45.4 |
| 6 0 -3 | 31.30 | 37.0 |
| 5 1 0 | 31.79 | 77.5 |
| 1 1 -3 | 34.02 | 100.0 |
| 10 0 0 | 40.73 | 28.1 |
| 0 2 0 | 50.04 | 20.8 |

=====

No. 2
Starting from a PBE-relaxed structure, the powder diffractogram of Pu2Cu3 was simulated for CuKα.

Structure:
Cell: 5.073 9.700 7.771 Å, 90.00 90.00 90.00°
Space group Cmce (No. 64)
Inequivalent atoms, fractional coordinates:
Pu 0.000 0.160 0.098 x8
Cu 0.000 0.000 0.500 x4
Cu 0.250 0.093 0.750 x8

The 6 most intense peaks (10 to 90 degrees two-theta), by angle:
| index | Position (°2θ) | I (rel.) |
| --- | --- | --- |
| 1 1 1 | 22.86 | 28.2 |
| 1 1 2 | 30.41 | 97.5 |
| 1 3 1 | 34.87 | 100.0 |
| 0 2 3 | 39.44 | 51.0 |
| 2 2 1 | 41.84 | 41.4 |
| 1 5 2 | 56.00 | 23.2 |

=====

> Which formula does entry 2 have?

Pu2Cu3

=====

What did the second record say?
Starting from a PBE-relaxed structure, the powder diffractogram of Pu2Cu3 was simulated for CuKα.

Structure:
Cell: 5.073 9.700 7.771 Å, 90.00 90.00 90.00°
Space group Cmce (No. 64)
Inequivalent atoms, fractional coordinates:
Pu 0.000 0.160 0.098 x8
Cu 0.000 0.000 0.500 x4
Cu 0.250 0.093 0.750 x8

The 6 most intense peaks (10 to 90 degrees two-theta), by angle:
| index | Position (°2θ) | I (rel.) |
| --- | --- | --- |
| 1 1 1 | 22.86 | 28.2 |
| 1 1 2 | 30.41 | 97.5 |
| 1 3 1 | 34.87 | 100.0 |
| 0 2 3 | 39.44 | 51.0 |
| 2 2 1 | 41.84 | 41.4 |
| 1 5 2 | 56.00 | 23.2 |